Calculated XRD peak list of K2CuP4H8O15 for λ = 1.5418 Å (Cu Kα), from DFT lattice parameters and positions (GGA-PBE).
No peak broadening, texture or thermal motion is included.

Main lines, sorted by position (10° ≤ 2θ ≤ 90°):
12.19 deg, rel. 93
13.81 deg, rel. 32
19.58 deg, rel. 33
20.27 deg, rel. 33
20.90 deg, rel. 33
24.52 deg, rel. 25
28.02 deg, rel. 24
29.47 deg, rel. 55
30.20 deg, rel. 50
31.56 deg, rel. 100

Atomic structure:
a = 7.6635 Å, b = 7.6635 Å, c = 6.6352 Å
α = 99.03°, β = 99.03°, γ = 104.54°
Fractional positions:
K1 0.2154 0.2154 0.0909
K2 0.7846 0.7846 0.9091
Cu1 0.0000 0.0000 0.5000
P1 0.2244 0.7497 0.3290
P2 0.2503 0.7756 0.6710
P3 0.7497 0.2244 0.3290
P4 0.7756 0.2503 0.6710
H1 0.0084 0.5093 0.7582
H2 0.2517 0.3825 0.6131
H3 0.3825 0.2517 0.6131
H4 0.4907 0.9916 0.2418
H5 0.5093 0.0084 0.7582
H6 0.6175 0.7483 0.3869
H7 0.7483 0.6175 0.3869
H8 0.9916 0.4907 0.2418
O1 0.0996 0.8728 0.2743
O2 0.1268 0.5413 0.2233
O3 0.1272 0.9004 0.7257
O4 0.1977 0.5867 0.7268
O5 0.2646 0.2646 0.5408
O6 0.4133 0.8023 0.2732
O7 0.4587 0.8732 0.7767
O8 0.5000 0.5000 0.0000
O9 0.5413 0.1268 0.2233
O10 0.5867 0.1977 0.7268
O11 0.7354 0.7354 0.4592
O12 0.8023 0.4133 0.2732
O13 0.8728 0.0996 0.2743
O14 0.8732 0.4587 0.7767
O15 0.9004 0.1272 0.7257

Calculated XRD peak list of KCu2H2S2O10 for λ = 1.5418 Å (Cu Kα), from DFT lattice parameters and positions (GGA-PBE).
No peak broadening, texture or thermal motion is included.

Main lines, sorted by position (10° ≤ 2θ ≤ 90°):
12.81 deg, rel. 60
18.93 deg, rel. 39
23.69 deg, rel. 70
26.21 deg, rel. 49
30.98 deg, rel. 100
32.15 deg, rel. 29
34.05 deg, rel. 44
36.05 deg, rel. 26
37.02 deg, rel. 31
50.89 deg, rel. 24

Atomic structure:
a = 5.6762 Å, b = 5.6762 Å, c = 8.0874 Å
α = 115.48°, β = 115.48°, γ = 68.20°
Fractional positions:
K1 0.0000 0.0000 0.0000
Cu1 0.0000 0.5000 0.5000
Cu2 0.5000 0.0000 0.5000
H1 0.2004 0.2004 0.6820
H2 0.7996 0.7996 0.3180
S1 0.4265 0.4265 0.2106
S2 0.5735 0.5735 0.7894
O1 0.1663 0.1663 0.5443
O2 0.2687 0.6596 0.7339
O3 0.3172 0.3172 0.0002
O4 0.3323 0.3323 0.3101
O5 0.3404 0.7313 0.2661
O6 0.6596 0.2687 0.7339
O7 0.6677 0.6677 0.6899
O8 0.6828 0.6828 0.9998
O9 0.7313 0.3404 0.2661
O10 0.8337 0.8337 0.4557

Calculated XRD peak list of KCu2H3S2O10 for λ = 1.5418 Å (Cu Kα), from DFT lattice parameters and positions (GGA-PBE).
No peak broadening, texture or thermal motion is included.

Main lines, sorted by position (10° ≤ 2θ ≤ 90°):
12.98 deg, rel. 57
17.79 deg, rel. 17
19.39 deg, rel. 26
24.53 deg, rel. 52
26.73 deg, rel. 48
30.99 deg, rel. 100
32.58 deg, rel. 24
34.29 deg, rel. 46
37.56 deg, rel. 36
52.08 deg, rel. 22

Atomic structure:
a = 5.5978 Å, b = 5.5978 Å, c = 7.8500 Å
α = 114.01°, β = 114.01°, γ = 69.41°
Fractional positions:
K1 0.0000 0.0000 0.0000
Cu1 0.0027 0.4925 0.5015
Cu2 0.4925 0.0027 0.5015
H1 0.2075 0.2075 0.7133
H2 0.7868 0.7868 0.2782
H3 0.9726 0.9726 0.4844
S1 0.4208 0.4208 0.2097
S2 0.5783 0.5783 0.7908
O1 0.1536 0.1536 0.5686
O2 0.2747 0.6625 0.7330
O3 0.3114 0.3114 0.9968
O4 0.3224 0.3224 0.3126
O5 0.3361 0.7243 0.2663
O6 0.6625 0.2747 0.7330
O7 0.6778 0.6778 0.6892
O8 0.6873 0.6873 0.0040
O9 0.7243 0.3361 0.2663
O10 0.8399 0.8399 0.4237

Calculated XRD peak list of KCu2H2Se2O10 for λ = 1.5418 Å (Cu Kα), from DFT lattice parameters and positions (GGA-PBE).
No peak broadening, texture or thermal motion is included.

Main lines, sorted by position (10° ≤ 2θ ≤ 90°):
15.04 deg, rel. 23
16.42 deg, rel. 100
17.55 deg, rel. 40
22.77 deg, rel. 28
25.41 deg, rel. 41
29.96 deg, rel. 20
31.02 deg, rel. 16
33.18 deg, rel. 11
40.00 deg, rel. 11
52.19 deg, rel. 14

Atomic structure:
a = 7.0304 Å, b = 7.0304 Å, c = 7.9456 Å
α = 115.77°, β = 115.77°, γ = 56.10°
Fractional positions:
K1 0.0000 0.0000 0.0000
Cu1 0.0000 0.5000 0.5000
Cu2 0.5000 0.0000 0.5000
H1 0.3046 0.3046 0.1105
H2 0.6954 0.6954 0.8895
Se1 0.2496 0.2496 0.7917
Se2 0.7504 0.7504 0.2083
O1 0.0775 0.5425 0.7682
O2 0.1167 0.1167 0.7878
O3 0.1820 0.1820 0.5072
O4 0.3574 0.3574 0.0504
O5 0.4575 0.9225 0.2318
O6 0.5425 0.0775 0.7682
O7 0.6426 0.6426 0.9496
O8 0.8180 0.8180 0.4928
O9 0.8833 0.8833 0.2122
O10 0.9225 0.4575 0.2318

Calculated XRD peak list of KCu2H2Se2O10 for λ = 1.5418 Å (Cu Kα), from DFT lattice parameters and positions (GGA-PBE).
No peak broadening, texture or thermal motion is included.

Main lines, sorted by position (10° ≤ 2θ ≤ 90°):
16.38 deg, rel. 18
16.59 deg, rel. 100
17.91 deg, rel. 18
25.74 deg, rel. 25
27.93 deg, rel. 15
28.70 deg, rel. 39
29.78 deg, rel. 25
31.21 deg, rel. 18
36.02 deg, rel. 12
44.14 deg, rel. 13

Atomic structure:
a = 6.9820 Å, b = 6.9820 Å, c = 6.8870 Å
α = 112.59°, β = 112.59°, γ = 62.17°
Fractional positions:
K1 0.0000 0.0000 0.0000
Cu1 0.0000 0.5000 0.5000
Cu2 0.5000 0.0000 0.5000
H1 0.2853 0.2853 0.3047
H2 0.7147 0.7147 0.6953
Se1 0.2861 0.2861 0.8826
Se2 0.7139 0.7139 0.1174
O1 0.1326 0.1326 0.7655
O2 0.1472 0.5308 0.7981
O3 0.2449 0.2449 0.4058
O4 0.3611 0.3611 0.1500
O5 0.4692 0.8528 0.2019
O6 0.5308 0.1472 0.7981
O7 0.6389 0.6389 0.8500
O8 0.7551 0.7551 0.5942
O9 0.8528 0.4692 0.2019
O10 0.8674 0.8674 0.2345

Calculated XRD peak list of KCuH6Ru for λ = 1.5418 Å (Cu Kα), from DFT lattice parameters and positions (GGA-PBE).
No peak broadening, texture or thermal motion is included.

Main lines, sorted by position (10° ≤ 2θ ≤ 90°):
15.36 deg, rel. 100
25.73 deg, rel. 23
26.52 deg, rel. 47
30.10 deg, rel. 84
31.01 deg, rel. 43
34.79 deg, rel. 32
46.57 deg, rel. 23
46.74 deg, rel. 23
47.28 deg, rel. 32
54.57 deg, rel. 20

Atomic structure:
a = 4.3086 Å, b = 5.7683 Å, c = 4.3262 Å
α = 90.00°, β = 106.65°, γ = 90.00°
Fractional positions:
K1 0.0000 0.0000 0.0000
Cu1 0.2845 0.5000 0.7101
H1 0.4881 0.3017 0.0123
H2 0.4881 0.6983 0.0123
H3 0.5226 0.3358 0.4656
H4 0.5226 0.6642 0.4656
H5 0.9797 0.3014 0.5093
H6 0.9797 0.6986 0.5093
Ru1 0.7116 0.5000 0.2825

Calculated XRD peak list of KCuSiH6 for λ = 1.5418 Å (Cu Kα), from DFT lattice parameters and positions (GGA-PBE).
No peak broadening, texture or thermal motion is included.

Main lines, sorted by position (10° ≤ 2θ ≤ 90°):
15.57 deg, rel. 28
22.40 deg, rel. 10
27.39 deg, rel. 100
31.43 deg, rel. 22
39.32 deg, rel. 35
42.53 deg, rel. 10
48.59 deg, rel. 18
51.18 deg, rel. 33
53.53 deg, rel. 13
64.21 deg, rel. 15

Atomic structure:
a = 4.5830 Å, b = 4.5830 Å, c = 5.6920 Å
α = 90.00°, β = 90.00°, γ = 120.00°
Fractional positions:
K1 0.0000 0.0000 0.0000
Cu1 0.3333 0.6667 0.5000
Si1 0.6667 0.3333 0.5000
H1 0.3808 0.0332 0.6639
H2 0.3808 0.3476 0.3361
H3 0.6524 0.0332 0.3361
H4 0.6524 0.6192 0.6639
H5 0.9668 0.3476 0.6639
H6 0.9668 0.6192 0.3361